Computed X-ray powder pattern of Mo4Os3 for Cu Kα, 1.54184 Å, from a PBE-relaxed structure.
No peak broadening, texture or thermal motion is included.

The 10 most intense peaks (2θ = 10–90°), low angle first:
16.87 deg, rel. 7
30.66 deg, rel. 12
39.74 deg, rel. 57
41.18 deg, rel. 100
57.46 deg, rel. 19
61.79 deg, rel. 7
73.11 deg, rel. 37
76.02 deg, rel. 15
85.66 deg, rel. 6
89.40 deg, rel. 11

Structure:
Lattice parameters (Å, degrees): 10.751 10.751 10.751 162.84 162.84 24.36
Fractional coordinates of all 7 atoms:
Mo (0.073, 0.073, 0.000)
Mo (0.352, 0.352, 0.000)
Mo (0.648, 0.648, 0.000)
Mo (0.927, 0.927, 0.000)
Os (0.210, 0.210, 0.000)
Os (0.500, 0.500, 0.000)
Os (0.790, 0.790, 0.000)